Entry 1:
For HoZnCu4, DFT lattice parameters and positions (GGA-PBE) gives the computed XRD peak list in this record (Cu Kα (λ = 1.5418 Å)).
No peak broadening, texture or thermal motion is included.

Largest 8 diffraction maxima, low angle first, 5 to 70 degrees two-theta:
two_theta	I (rel.)	(hkl)
25.22	12	0 1 2
35.88	30	1 1 0
36.05	30	1 0 4
42.40	100	1 1 3
42.58	32	0 1 5
44.36	25	2 0 2
68.98	15	0 3 3
69.09	15	1 2 5

Atomic structure:
Unit cell a=5.0062 b=5.0062 c=12.1776 alpha=90.00 beta=90.00 gamma=120.00
Space group R3m (No. 160, hexagonal axes)
One atom of each set of equivalent atoms:
Ho 0.0000 0.0000 0.0000 [3 per cell]
Zn 0.0000 0.0000 0.2515 [3 per cell]
Cu 0.0000 0.0000 0.6230 [3 per cell]
Cu 0.0028 0.5014 0.1244 [9 per cell]

Entry 2:
For CuI7, DFT lattice parameters and positions (GGA-PBE) gives the computed XRD peak list in this record (Cu Kα (λ = 1.5418 Å)).
No peak broadening, texture or thermal motion is included.

Largest 8 diffraction maxima, low angle first, 5 to 70 degrees two-theta:
two_theta	I (rel.)	(hkl)
18.98	33	1 0 2
21.22	100	0 2 0
21.88	24	2 1 0
24.19	32	2 0 -1
26.77	30	2 -1 0
27.28	29	1 1 3
29.48	27	1 -1 3
36.99	25	1 1 -4

Atomic structure:
Unit cell a=8.397 b=8.653 c=10.795 alpha=88.42 beta=84.59 gamma=75.39
Space group P-1 (No. 2)
One atom of each set of equivalent atoms:
Cu 0.193 0.143 0.143 [2 per cell]
I 0.056 0.739 0.550 [2 per cell]
I 0.075 0.195 0.704 [2 per cell]
I 0.108 0.692 0.806 [2 per cell]
I 0.225 0.843 0.152 [2 per cell]
I 0.386 0.278 0.012 [2 per cell]
I 0.393 0.253 0.295 [2 per cell]
I 0.410 0.244 0.562 [2 per cell]

Entry 3:
For Cu2I3, DFT lattice parameters and positions (GGA-PBE) gives the computed XRD peak list in this record (Cu Kα (λ = 1.5418 Å)).
No peak broadening, texture or thermal motion is included.

Largest 8 diffraction maxima, low angle first, 5 to 70 degrees two-theta:
two_theta	I (rel.)	(hkl)
26.02	95	0 3 1
26.31	99	1 0 1
29.98	17	0 0 2
30.46	23	1 3 0
43.27	100	1 3 2
43.99	19	2 0 0
51.34	30	1 6 1
51.82	28	2 3 1

Atomic structure:
Unit cell a=4.117 b=12.548 c=5.961 alpha=90.00 beta=90.00 gamma=90.00
Space group Imm2 (No. 44)
One atom of each set of equivalent atoms:
Cu 0.000 0.163 0.000 [4 per cell]
I 0.000 0.000 0.255 [2 per cell]
I 0.000 0.338 0.236 [4 per cell]

Entry 4:
For Cu2I5, DFT lattice parameters and positions (GGA-PBE) gives the computed XRD peak list in this record (Cu Kα (λ = 1.5418 Å)).
No peak broadening, texture or thermal motion is included.

Largest 8 diffraction maxima, low angle first, 5 to 70 degrees two-theta:
two_theta	I (rel.)	(hkl)
17.43	39	1 0 0
23.05	55	1 1 -1
24.67	100	1 0 1
25.99	81	0 1 -2
29.13	39	1 -2 0
31.77	48	-1 1 2
33.35	46	0 2 1
35.08	52	-2 1 1

Atomic structure:
Unit cell a=5.370 b=6.886 c=7.310 alpha=102.92 beta=104.30 gamma=98.22
Space group P-1 (No. 2)
One atom of each set of equivalent atoms:
Cu 0.000 0.000 0.000 [1 per cell]
Cu 0.000 0.500 0.500 [1 per cell]
I 0.088 0.320 0.889 [2 per cell]
I 0.233 0.872 0.723 [2 per cell]
I 0.500 0.500 0.500 [1 per cell]

Entry 5:
For CuI2, DFT lattice parameters and positions (GGA-PBE) gives the computed XRD peak list in this record (Cu Kα (λ = 1.5418 Å)).
No peak broadening, texture or thermal motion is included.

Largest 8 diffraction maxima, low angle first, 5 to 70 degrees two-theta:
two_theta	I (rel.)	(hkl)
26.28	100	1 0 2
27.89	11	0 0 4
31.64	16	1 1 0
42.67	44	1 1 4
45.35	18	2 0 0
48.36	18	1 0 6
53.17	28	2 1 2
68.46	13	2 1 6

Atomic structure:
Unit cell a=4.000 b=4.000 c=12.797 alpha=90.00 beta=90.00 gamma=90.00
Space group P4_2/nmc (No. 137, origin choice 2)
One atom of each set of equivalent atoms:
Cu 0.250 0.750 0.250 [2 per cell]
I 0.250 0.250 0.125 [4 per cell]

Entry 6:
For CuI, DFT lattice parameters and positions (GGA-PBE) gives the computed XRD peak list in this record (Cu Kα (λ = 1.5418 Å)).
No peak broadening, texture or thermal motion is included.

Largest 8 diffraction maxima, low angle first, 5 to 70 degrees two-theta:
two_theta	I (rel.)	(hkl)
23.99	26	1 0 0
24.84	100	1 0 1
25.58	64	0 0 4
27.24	71	1 0 2
40.49	37	1 0 5
42.19	90	1 1 0
46.12	66	1 0 6
50.00	60	1 1 4

Atomic structure:
Unit cell a=4.2834 b=4.2834 c=13.9297 alpha=90.00 beta=90.00 gamma=120.00
Space group P6_3mc (No. 186)
One atom of each set of equivalent atoms:
Cu 0.0000 0.0000 0.0000 [2 per cell]
Cu 0.3333 0.6667 0.2486 [2 per cell]
I 0.0000 0.0000 0.1878 [2 per cell]
I 0.3333 0.6667 0.4381 [2 per cell]

Entry 7:
For CuI2, DFT lattice parameters and positions (GGA-PBE) gives the computed XRD peak list in this record (Cu Kα (λ = 1.5418 Å)).
No peak broadening, texture or thermal motion is included.

Largest 8 diffraction maxima, low angle first, 5 to 70 degrees two-theta:
two_theta	I (rel.)	(hkl)
13.53	20	0 0 2
26.88	20	1 0 1
27.25	18	0 0 4
29.41	100	1 0 2
33.23	47	1 0 3
43.49	24	1 0 5
45.85	41	1 1 0
49.52	23	1 0 6

Atomic structure:
Unit cell a=3.9586 b=3.9586 c=13.0905 alpha=90.00 beta=90.00 gamma=120.00
Space group P6_3mc (No. 186)
One atom of each set of equivalent atoms:
Cu 0.3333 0.6667 0.0000 [2 per cell]
I 0.0000 0.0000 0.3784 [2 per cell]
I 0.3333 0.6667 0.6201 [2 per cell]

Entry 8:
For Cu5I6, DFT lattice parameters and positions (GGA-PBE) gives the computed XRD peak list in this record (Cu Kα (λ = 1.5418 Å)).
No peak broadening, texture or thermal motion is included.

Largest 8 diffraction maxima, low angle first, 5 to 70 degrees two-theta:
two_theta	I (rel.)	(hkl)
25.84	100	3 1 0
29.50	1	1 1 2
29.92	12	0 2 0
42.83	66	6 0 0
50.69	45	5 1 2
53.12	3	2 2 -4
62.17	10	8 0 -4
68.48	18	9 1 0

Atomic structure:
Unit cell a=13.362 b=5.972 c=8.442 alpha=90.00 beta=108.42 gamma=90.00
Space group C2 (No. 5)
One atom of each set of equivalent atoms:
Cu 0.000 0.000 0.000 [2 per cell]
Cu 0.165 0.513 0.828 [4 per cell]
Cu 0.167 0.520 0.339 [4 per cell]
I 0.000 0.769 0.258 [4 per cell]
I 0.162 0.256 0.581 [4 per cell]
I 0.166 0.264 0.084 [4 per cell]

Entry 9:
For CuI, DFT lattice parameters and positions (GGA-PBE) gives the computed XRD peak list in this record (Cu Kα (λ = 1.5418 Å)).
No peak broadening, texture or thermal motion is included.

Largest 8 diffraction maxima, low angle first, 5 to 70 degrees two-theta:
two_theta	I (rel.)	(hkl)
25.53	100	1 1 1
29.56	8	2 0 0
42.30	70	2 2 0
50.06	46	3 1 1
52.45	2	2 2 2
61.36	11	4 0 0
67.57	18	3 3 1
69.57	3	4 2 0

Atomic structure:
Unit cell a=6.043 b=6.043 c=6.043 alpha=90.00 beta=90.00 gamma=90.00
Space group F-43m (No. 216)
One atom of each set of equivalent atoms:
Cu 0.000 0.000 0.000 [4 per cell]
I 0.250 0.250 0.750 [4 per cell]

Entry 10:
For Cu3I4, DFT lattice parameters and positions (GGA-PBE) gives the computed XRD peak list in this record (Cu Kα (λ = 1.5418 Å)).
No peak broadening, texture or thermal motion is included.

Largest 8 diffraction maxima, low angle first, 5 to 70 degrees two-theta:
two_theta	I (rel.)	(hkl)
16.69	3	1 0 1
25.99	100	1 1 2
30.10	15	2 0 0
43.09	64	2 2 0
51.01	45	3 1 2
53.45	4	2 2 4
62.57	10	4 0 0
68.93	18	3 3 2

Atomic structure:
Unit cell a=5.937 b=5.937 c=11.880 alpha=90.00 beta=90.00 gamma=90.00
Space group I-42m (No. 121)
One atom of each set of equivalent atoms:
Cu 0.000 0.000 0.000 [2 per cell]
Cu 0.000 0.500 0.250 [4 per cell]
I 0.244 0.244 0.378 [8 per cell]

Entry 11:
For Nd2Cu2I, DFT lattice parameters and positions (GGA-PBE) gives the computed XRD peak list in this record (Cu Kα (λ = 1.5418 Å)).
No peak broadening, texture or thermal motion is included.

Largest 8 diffraction maxima, low angle first, 5 to 70 degrees two-theta:
two_theta	I (rel.)	(hkl)
10.36	9	0 0 1
24.41	23	1 0 0
26.58	16	1 0 1
32.29	100	1 0 2
40.20	17	1 0 3
42.96	42	1 1 0
54.75	22	2 0 2
61.92	17	1 1 4

Atomic structure:
Unit cell a=4.2104 b=4.2104 c=8.5351 alpha=90.00 beta=90.00 gamma=120.00
Space group P-6m2 (No. 187)
One atom of each set of equivalent atoms:
Nd 0.0000 0.0000 0.2120 [2 per cell]
Cu 0.3333 0.6667 0.0000 [1 per cell]
Cu 0.6667 0.3333 0.0000 [1 per cell]
I 0.6667 0.3333 0.5000 [1 per cell]

Entry 12:
For CuP4S3I, DFT lattice parameters and positions (GGA-PBE) gives the computed XRD peak list in this record (Cu Kα (λ = 1.5418 Å)).
No peak broadening, texture or thermal motion is included.

Largest 8 diffraction maxima, low angle first, 5 to 70 degrees two-theta:
two_theta	I (rel.)	(hkl)
8.09	100	0 2 0
18.55	56	1 3 1
28.12	36	2 0 2
29.07	22	2 4 1
29.31	26	2 2 2
33.91	21	0 8 1
44.59	21	3 3 3
53.27	21	0 12 2

Atomic structure:
Unit cell a=7.938 b=21.845 c=10.567 alpha=90.00 beta=90.00 gamma=90.00
Space group Cmce (No. 64)
One atom of each set of equivalent atoms:
Cu 0.196 0.000 0.000 [8 per cell]
P 0.000 0.122 0.285 [8 per cell]
P 0.000 0.220 0.527 [8 per cell]
P 0.142 0.083 0.455 [16 per cell]
S 0.000 0.217 0.326 [8 per cell]
S 0.204 0.160 0.564 [16 per cell]
I 0.000 0.033 0.811 [8 per cell]